# Ti2MnRe
Theoretical powder diffraction line list, Cu Kα (λ = 1.5418 Å). Input: a DFT-relaxed cell (PBE, the Materials Project).

Cell and atoms:
```
data_Ti2MnRe
_chemical_formula_sum 'Ti8 Mn4 Re4'
_cell_length_a 6.1216
_cell_length_b 6.1216
_cell_length_c 6.1216
_cell_angle_alpha 90.00
_cell_angle_beta 90.00
_cell_angle_gamma 90.00
_space_group_name_H-M_alt 'F m -3 m'
_space_group_IT_number 225
_space_group_name_Hall '-F 4 2 3'
loop_
_atom_site_label
_atom_site_type_symbol
_atom_site_fract_x
_atom_site_fract_y
_atom_site_fract_z
Ti1 Ti 0.2500 0.2500 0.2500
Mn1 Mn 0.0000 0.0000 0.0000
Re1 Re 0.0000 0.0000 0.5000
```

Peak list (10 most intense, 10 to 90 degrees two-theta, sorted by position)
2θ/deg, d (Å), I/Imax, h k l
25.20, 3.534, 361, 1 1 1
29.18, 3.061, 245, 2 0 0
41.73, 2.164, 1000, 2 2 0
49.38, 1.846, 190, 3 1 1
51.73, 1.767, 72, 2 2 2
60.50, 1.530, 160, 4 0 0
66.59, 1.404, 81, 3 3 1
68.55, 1.369, 95, 4 2 0
76.19, 1.250, 319, 4 2 2
81.74, 1.178, 64, 5 1 1